[1]
Starting from a GGA-PBE-relaxed structure, the powder diffractogram of Tm2Zr3Ru2 was simulated for a wavelength of 1.5418 Å.

Crystal structure
Cell lengths 11.4521, 3.6293, 8.3854 Å; angles 90.00, 116.14, 90.00 degrees
Space group C2/m (No. 12)
Unique sites:
Tm: 0.1514 0.0000 0.3040 [4 per cell]
Zr: 0.0000 0.5000 0.5000 [2 per cell]
Zr: 0.1194 0.5000 0.9399 [4 per cell]
Ru: 0.1636 0.0000 0.7375 [4 per cell]

Most intense lines, 10° ≤ 2θ ≤ 90°, most intense first:
2θ (°), I_rel, hkl
32.68, 100, 1 1 -2
36.05, 76, 3 1 0
34.09, 73, 3 1 -1
36.31, 70, 3 1 -2
35.22, 54, 2 0 2
38.04, 40, 1 1 2
50.28, 39, 0 2 0
34.91, 36, 4 0 0
37.47, 34, 4 0 -3
60.86, 29, 3 1 -5


[2]
Starting from a GGA-PBE-relaxed structure, the powder diffractogram of Rb4LiZn3F12 was simulated for a wavelength of 1.5418 Å.

Crystal structure
Cell lengths 8.3689, 8.3689, 8.3689 Å; angles 90.00, 90.00, 90.00 degrees
Space group Im-3m (No. 229)
Unique sites:
Rb: 0.2500 0.2500 0.2500 [8 per cell]
Li: 0.0000 0.0000 0.0000 [2 per cell]
Zn: 0.0000 0.0000 0.5000 [6 per cell]
F: 0.0000 0.0000 0.2637 [12 per cell]
F: 0.0000 0.2500 0.5000 [12 per cell]

Most intense lines, 10° ≤ 2θ ≤ 90°, most intense first:
2θ (°), I_rel, hkl
30.21, 100, 2 2 0
43.24, 48, 4 0 0
53.65, 39, 4 2 2
62.81, 28, 4 4 0
87.16, 21, 6 4 2
37.22, 21, 2 2 2
71.27, 17, 6 2 0
14.97, 12, 1 1 0
79.32, 9, 4 4 4
26.08, 7, 2 1 1


[3]
Starting from a GGA-PBE-relaxed structure, the powder diffractogram of Ba2Sr7Ca was simulated for a wavelength of 1.5418 Å.

Crystal structure
Cell lengths 7.7836, 35.1248, 4.0988 Å; angles 90.00, 90.00, 90.00 degrees
Space group Cmmm (No. 65)
Unique sites:
Ba: 0.0000 0.2056 0.0000 [4 per cell]
Sr: 0.0000 0.0000 0.0000 [2 per cell]
Sr: 0.0000 0.3128 0.5000 [4 per cell]
Sr: 0.2469 0.4036 0.0000 [8 per cell]
Ca: 0.0000 0.5000 0.5000 [2 per cell]

Most intense lines, 10° ≤ 2θ ≤ 90°, most intense first:
2θ (°), I_rel, hkl
27.68, 100, 1 5 1
25.36, 71, 0 10 0
27.52, 57, 2 6 0
25.03, 54, 2 4 0
33.35, 36, 2 4 1
21.68, 34, 0 0 1
24.68, 30, 1 1 1
23.41, 28, 2 2 0
43.23, 26, 3 5 1
33.60, 25, 0 10 1


[4]
Starting from a GGA-PBE-relaxed structure, the powder diffractogram of Ce2GaBr8 was simulated for a wavelength of 1.5418 Å.

Crystal structure
Cell lengths 9.0502, 13.1035, 5.8421 Å; angles 90.00, 102.06, 90.00 degrees
Space group C2/m (No. 12)
Unique sites:
Ce: 0.0000 0.1838 0.0000 [4 per cell]
Ga: 0.0000 0.5000 0.5000 [2 per cell]
Br: 0.0000 0.2550 0.5000 [4 per cell]
Br: 0.1080 0.0000 0.2897 [4 per cell]
Br: 0.1957 0.3671 0.0877 [8 per cell]

Most intense lines, 10° ≤ 2θ ≤ 90°, most intense first:
2θ (°), I_rel, hkl
31.48, 100, 0 4 1
31.84, 95, 3 1 -1
36.76, 76, 3 3 0
15.51, 66, 0 0 1
40.78, 61, 1 3 2
34.05, 59, 2 4 0
28.80, 58, 1 3 1
38.26, 51, 1 5 -1
44.41, 49, 3 3 -2
34.24, 45, 0 2 2


[5]
Starting from a GGA-PBE-relaxed structure, the powder diffractogram of Y2Sc2Ni was simulated for a wavelength of 1.5418 Å.

Crystal structure
Cell lengths 6.7888, 6.7888, 5.3594 Å; angles 90.00, 90.00, 90.00 degrees
Space group P4/mbm (No. 127)
Unique sites:
Y: 0.1675 0.3325 0.0000 [4 per cell]
Sc: 0.1558 0.6558 0.5000 [4 per cell]
Ni: 0.0000 0.0000 0.5000 [2 per cell]

Most intense lines, 10° ≤ 2θ ≤ 90°, most intense first:
2θ (°), I_rel, hkl
33.94, 100, 2 1 1
33.44, 35, 0 0 2
42.09, 27, 3 1 0
54.79, 26, 3 1 2
31.19, 23, 2 0 1
24.90, 18, 1 1 1
60.09, 18, 2 1 3
58.66, 17, 4 1 1
77.84, 9, 5 2 1
29.42, 8, 2 1 0


[6]
Starting from a GGA-PBE-relaxed structure, the powder diffractogram of CsNaTbCl5 was simulated for a wavelength of 1.5418 Å.

Crystal structure
Cell lengths 9.1665, 13.0062, 10.3388 Å; angles 90.00, 110.85, 90.00 degrees
Space group C2/c (No. 15)
Unique sites:
Cs: 0.0000 0.1647 0.2500 [4 per cell]
Na: 0.0000 0.1861 0.7500 [4 per cell]
Tb: 0.0000 0.5000 0.0000 [4 per cell]
Cl: 0.0000 0.4409 0.2500 [4 per cell]
Cl: 0.0908 0.3093 0.5828 [8 per cell]
Cl: 0.2036 0.0553 0.9305 [8 per cell]

Most intense lines, 10° ≤ 2θ ≤ 90°, most intense first:
2θ (°), I_rel, hkl
22.97, 100, 1 3 0
18.86, 96, 1 1 -2
20.74, 57, 2 0 0
12.37, 52, 1 1 0
37.72, 31, 3 3 0
35.56, 28, 2 0 -4
40.74, 25, 1 3 -4
30.96, 22, 3 1 -2
13.03, 21, 1 1 -1
33.21, 20, 0 4 2


[7]
Starting from a GGA-PBE-relaxed structure, the powder diffractogram of Sc2TlSb was simulated for a wavelength of 1.5418 Å.

Crystal structure
Cell lengths 4.2445, 4.2445, 10.4076 Å; angles 90.00, 90.00, 90.00 degrees
Space group I-4m2 (No. 119)
Unique sites:
Sc: 0.0000 0.0000 0.0000 [2 per cell]
Sc: 0.0000 0.5000 0.2500 [2 per cell]
Tl: 0.0000 0.0000 0.5000 [2 per cell]
Sb: 0.0000 0.5000 0.7500 [2 per cell]

Most intense lines, 10° ≤ 2θ ≤ 90°, most intense first:
2θ (°), I_rel, hkl
34.49, 100, 1 1 2
22.62, 40, 1 0 1
72.75, 29, 3 1 2
42.60, 22, 2 0 0
61.79, 22, 2 2 0
55.91, 20, 2 0 4
48.75, 17, 2 1 1
33.36, 15, 1 0 3
66.69, 9, 3 0 1
55.16, 8, 2 1 3


[8]
Starting from a GGA-PBE-relaxed structure, the powder diffractogram of TbThAg2 was simulated for a wavelength of 1.5418 Å.

Crystal structure
Cell lengths 3.6025, 3.6025, 7.7608 Å; angles 90.00, 90.00, 90.00 degrees
Space group P4/mmm (No. 123)
Unique sites:
Tb: 0.0000 0.0000 0.0000 [1 per cell]
Th: 0.0000 0.0000 0.5000 [1 per cell]
Ag: 0.5000 0.5000 0.2309 [2 per cell]

Most intense lines, 10° ≤ 2θ ≤ 90°, most intense first:
2θ (°), I_rel, hkl
33.96, 100, 1 0 2
35.23, 46, 1 1 0
62.41, 34, 2 1 2
59.93, 18, 1 1 4
50.68, 16, 2 0 0
71.46, 11, 2 0 4
46.82, 10, 0 0 4
78.58, 7, 1 0 6
85.17, 7, 3 1 0
84.45, 7, 3 0 2


[9]
Starting from a GGA-PBE-relaxed structure, the powder diffractogram of Na4ZrTe4 was simulated for a wavelength of 1.5418 Å.

Crystal structure
Cell lengths 7.4441, 7.4441, 13.2196 Å; angles 90.00, 90.00, 90.00 degrees
Space group I-42m (No. 121)
Unique sites:
Na: 0.0000 0.0000 0.2095 [4 per cell]
Na: 0.0000 0.5000 0.0000 [4 per cell]
Zr: 0.0000 0.0000 0.5000 [2 per cell]
Te: 0.2135 0.2135 0.6224 [8 per cell]

Most intense lines, 10° ≤ 2θ ≤ 90°, most intense first:
2θ (°), I_rel, hkl
21.58, 100, 1 1 2
36.35, 44, 2 0 4
13.65, 35, 1 0 1
34.07, 25, 2 2 0
40.69, 24, 3 1 2
33.74, 18, 2 1 3
44.58, 15, 1 1 6
44.41, 13, 3 2 1
23.91, 11, 2 0 0
27.63, 11, 2 1 1


[10]
Starting from a GGA-PBE-relaxed structure, the powder diffractogram of KNpCdSe3 was simulated for a wavelength of 1.5418 Å.

Crystal structure
Cell lengths 8.9532, 4.3160, 10.2561 Å; angles 90.00, 106.70, 90.00 degrees
Space group P2_1/m (No. 11)
Unique sites:
K: 0.2109 0.2500 0.2284 [2 per cell]
Np: 0.3274 0.7500 0.8603 [2 per cell]
Cd: 0.0867 0.2500 0.6096 [2 per cell]
Se: 0.1053 0.2500 0.8698 [2 per cell]
Se: 0.2288 0.7500 0.5405 [2 per cell]
Se: 0.4602 0.7500 0.1503 [2 per cell]

Most intense lines, 10° ≤ 2θ ≤ 90°, most intense first:
2θ (°), I_rel, hkl
11.58, 100, 1 0 -1
28.90, 32, 2 1 -1
29.36, 32, 2 1 0
42.33, 24, 2 1 -4
36.60, 21, 0 0 4
33.54, 20, 1 1 -3
27.23, 15, 0 0 3
41.86, 14, 0 2 0
46.14, 14, 3 1 2
31.94, 14, 1 0 3


[11]
Starting from a GGA-PBE-relaxed structure, the powder diffractogram of La4Sm11Ho9 was simulated for a wavelength of 1.5418 Å.

Crystal structure
Cell lengths 16.9615, 25.4519, 3.7277 Å; angles 90.00, 90.00, 90.00 degrees
Space group Cmmm (No. 65)
Unique sites:
La: 0.1546 0.1004 0.0000 [8 per cell]
Sm: 0.0000 0.1356 0.5000 [4 per cell]
Sm: 0.0000 0.3412 0.5000 [4 per cell]
Sm: 0.0000 0.5000 0.5000 [2 per cell]
Sm: 0.2127 0.0000 0.5000 [4 per cell]
Sm: 0.2255 0.3188 0.5000 [8 per cell]
Ho: 0.0000 0.0000 0.0000 [2 per cell]
Ho: 0.1008 0.2369 0.0000 [8 per cell]
Ho: 0.1375 0.4273 0.0000 [8 per cell]

Most intense lines, 10° ≤ 2θ ≤ 90°, most intense first:
2θ (°), I_rel, hkl
31.96, 100, 0 6 1
29.77, 71, 4 6 0
58.29, 16, 4 6 2
30.60, 16, 3 3 1
48.86, 13, 0 0 2
42.63, 11, 0 12 0
32.09, 11, 1 9 0
54.27, 9, 4 12 1
32.44, 8, 6 2 0
30.18, 7, 1 5 1


[12]
Starting from a GGA-PBE-relaxed structure, the powder diffractogram of Pm3IrC4 was simulated for a wavelength of 1.5418 Å.

Crystal structure
Cell lengths 16.6458, 3.7486, 4.3837 Å; angles 90.00, 99.76, 90.00 degrees
Space group C2/m (No. 12)
Unique sites:
Pm: 0.0000 0.0000 0.0000 [2 per cell]
Pm: 0.1761 0.0000 0.7088 [4 per cell]
Ir: 0.0000 0.5000 0.5000 [2 per cell]
C: 0.1018 0.5000 0.3253 [4 per cell]
C: 0.1724 0.5000 0.2180 [4 per cell]

Most intense lines, 10° ≤ 2θ ≤ 90°, most intense first:
2θ (°), I_rel, hkl
32.71, 100, 6 0 0
34.00, 33, 3 1 -1
10.79, 28, 2 0 0
39.67, 25, 5 1 -1
28.88, 23, 3 1 0
37.35, 18, 3 1 1
41.38, 18, 2 0 -2
53.45, 17, 7 1 1
48.57, 14, 0 2 0
21.67, 13, 4 0 0